# 1
LiCu5P2O8: theoretical powder XRD pattern (Cu Kα X-rays), based on a crystal structure in the Materials Project, relaxed with PBE.
No peak broadening, texture or thermal motion is included.

The 6 most intense peaks (5° ≤ 2θ ≤ 70°), low angle first:
(hkl)  Position (°2θ)  I/Imax
1 0 0  15.82  38
2 0 0  31.94  43
0 0 4  34.77  100
1 -2 2  36.83  34
1 2 -2  37.23  56
1 2 2  37.83  35

a = 5.6048 Å, b = 6.2486 Å, c = 10.3230 Å
α = 90.97°, β = 90.35°, γ = 91.17°
Positions (direct):
Li1 0.0000 0.0000 0.0000
Li2 0.1771 0.7522 0.7576
Cu1 0.0673 0.7624 0.2559
Cu2 0.5785 0.2614 0.9851
Cu3 0.5802 0.2548 0.4941
Cu4 0.6642 0.0520 0.7434
Cu5 0.6725 0.4557 0.7374
Cu6 0.6753 0.5071 0.2481
Cu7 0.6882 0.9886 0.2647
Cu8 0.9617 0.0340 0.5061
Cu9 0.9635 0.4715 0.5091
Cu10 0.9700 0.5099 0.0055
P1 0.1395 0.2508 0.7652
P2 0.1616 0.2531 0.2534
P3 0.4596 0.7488 0.5135
P4 0.4834 0.7635 0.0088
O1 0.0144 0.0365 0.7146
O2 0.0201 0.0564 0.1906
O3 0.0238 0.4616 0.7151
O4 0.0272 0.4558 0.2066
O5 0.1433 0.2521 0.9149
O6 0.1591 0.2455 0.4032
O7 0.1960 0.7444 0.4679
O8 0.2284 0.7670 0.9493
O9 0.3931 0.2496 0.7070
O10 0.4202 0.2563 0.2029
O11 0.4733 0.7566 0.1588
O12 0.4825 0.7511 0.6634
O13 0.5909 0.9502 0.4569
O14 0.5977 0.5561 0.4540
O15 0.6185 0.5647 0.9523
O16 0.6389 0.9596 0.9633


# 2
Li2Cu3P4O14: theoretical powder XRD pattern (Cu Kα X-rays), based on a crystal structure in the Materials Project, relaxed with PBE.
No peak broadening, texture or thermal motion is included.

The 6 most intense peaks (5° ≤ 2θ ≤ 70°), low angle first:
(hkl)  Position (°2θ)  I/Imax
0 0 1  5.42  100
1 0 -3  22.62  23
1 0 3  25.73  67
1 0 4  30.02  50
1 -2 1  30.15  57
1 0 -5  30.85  24

a = 5.2978 Å, b = 6.2595 Å, c = 16.4414 Å
α = 92.91°, β = 95.88°, γ = 108.49°
Positions (direct):
Li1 0.0271 0.2246 0.3788
Li2 0.4632 0.7339 0.5150
Li3 0.5368 0.2661 0.4850
Li4 0.9729 0.7754 0.6212
Cu1 0.0811 0.5296 0.8330
Cu2 0.2667 0.2209 0.0863
Cu3 0.3747 0.8682 0.3235
Cu4 0.6253 0.1318 0.6765
Cu5 0.7333 0.7791 0.9137
Cu6 0.9189 0.4704 0.1670
P1 0.1030 0.2574 0.5697
P2 0.1890 0.0701 0.8174
P3 0.3472 0.7309 0.0467
P4 0.4993 0.4069 0.2998
P5 0.5007 0.5931 0.7002
P6 0.6528 0.2691 0.9533
P7 0.8110 0.9299 0.1826
P8 0.8970 0.7426 0.4303
O1 0.0095 0.8314 0.8362
O2 0.0110 0.2143 0.7935
O3 0.1882 0.5157 0.0862
O4 0.2028 0.3618 0.4918
O5 0.2042 0.8096 0.4300
O6 0.2070 0.9070 0.0511
O7 0.2138 0.0686 0.5914
O8 0.2210 0.4706 0.6414
O9 0.3033 0.5416 0.3041
O10 0.3573 0.1838 0.9039
O11 0.3702 0.0404 0.7560
O12 0.3706 0.1863 0.3410
O13 0.3955 0.6668 0.9595
O14 0.4211 0.6240 0.7854
O15 0.5789 0.3760 0.2146
O16 0.6045 0.3332 0.0405
O17 0.6294 0.8137 0.6590
O18 0.6298 0.9596 0.2440
O19 0.6427 0.8162 0.0961
O20 0.6967 0.4584 0.6959
O21 0.7790 0.5294 0.3586
O22 0.7862 0.9314 0.4086
O23 0.7930 0.0930 0.9489
O24 0.7958 0.1904 0.5700
O25 0.7972 0.6382 0.5082
O26 0.8118 0.4843 0.9138
O27 0.9890 0.7857 0.2065
O28 0.9905 0.1686 0.1638


# 3
Li2CuPO4: theoretical powder XRD pattern (Cu Kα X-rays), based on a crystal structure in the Materials Project, relaxed with PBE.
No peak broadening, texture or thermal motion is included.

The 6 most intense peaks (5° ≤ 2θ ≤ 70°), low angle first:
(hkl)  Position (°2θ)  I/Imax
0 0 1  12.88  100
1 0 1  21.48  64
0 1 1  22.27  37
1 1 1  28.22  53
0 2 0  36.61  65
2 1 0  38.42  32

a = 5.3375 Å, b = 4.9053 Å, c = 6.8783 Å
α = 90.00°, β = 92.21°, γ = 90.00°
Positions (direct):
Li1 0.0867 0.0000 0.3237
Li2 0.2006 0.5289 0.0117
Li3 0.7994 0.0289 0.9883
Li4 0.9133 0.5000 0.6763
Cu1 0.3361 0.5696 0.4999
Cu2 0.6639 0.0696 0.5001
P1 0.2725 0.0307 0.7629
P2 0.7275 0.5307 0.2371
O1 0.1418 0.1722 0.5819
O2 0.1568 0.1398 0.9494
O3 0.2282 0.7128 0.7510
O4 0.4372 0.5874 0.2342
O5 0.5628 0.0874 0.7658
O6 0.7718 0.2128 0.2490
O7 0.8432 0.6398 0.0506
O8 0.8582 0.6722 0.4181


# 4
LiCu5P2O8: theoretical powder XRD pattern (Cu Kα X-rays), based on a crystal structure in the Materials Project, relaxed with PBE.
No peak broadening, texture or thermal motion is included.

The 6 most intense peaks (5° ≤ 2θ ≤ 70°), low angle first:
(hkl)  Position (°2θ)  I/Imax
2 0 0  32.50  51
1 -2 0  32.80  43
0 0 4  34.28  100
2 0 2  36.87  69
1 -2 2  37.14  77
1 2 -2  37.31  45

a = 5.5097 Å, b = 6.2601 Å, c = 10.4644 Å
α = 90.03°, β = 90.11°, γ = 90.43°
Positions (direct):
Li1 0.0000 0.0000 0.0000
Li2 0.3457 0.9966 0.2474
Cu1 0.0091 0.4916 0.9976
Cu2 0.0138 0.4926 0.4992
Cu3 0.0200 0.0041 0.5021
Cu4 0.3346 0.5044 0.7513
Cu5 0.3393 0.5058 0.2459
Cu6 0.3391 0.9919 0.7538
Cu7 0.4855 0.7517 0.5006
Cu8 0.4881 0.7444 0.9971
Cu9 0.8587 0.2531 0.7502
Cu10 0.8624 0.2470 0.2477
P1 0.5001 0.2397 0.0045
P2 0.5004 0.2470 0.4976
P3 0.8468 0.7568 0.2485
P4 0.8485 0.7519 0.7540
O1 0.3521 0.0414 0.9546
O2 0.3691 0.4529 0.4478
O3 0.3698 0.0464 0.4386
O4 0.3741 0.4459 0.9514
O5 0.4909 0.2400 0.1529
O6 0.4971 0.2436 0.6460
O7 0.5791 0.7634 0.2004
O8 0.5850 0.7484 0.7008
O9 0.7662 0.2317 0.9553
O10 0.7656 0.2505 0.4468
O11 0.8517 0.7546 0.3971
O12 0.8560 0.7571 0.9023
O13 0.9735 0.5487 0.1976
O14 0.9792 0.5482 0.7019
O15 0.9796 0.9563 0.7007
O16 0.9919 0.9525 0.1938